Entry 1:
Computed powder diffraction line list of MgTl2Pb16Br18O8 for λ = 1.5418 Å (Cu Kα), from the GGA-PBE geometry in the Materials Project.
Neutral-atom scattering factors, no anomalous dispersion.

Principal peaks in the range 2θ = 10–90°, sorted by position:
d (Å)	2θ (°)	I_rel
4.690	18.92	31
3.990	22.28	28
3.380	26.37	97
3.231	27.60	61
2.978	30.01	100
2.899	30.84	38
2.820	31.73	70
2.476	36.29	48
2.417	37.20	35
1.715	53.42	25

Structural model:
```
MgTl2Pb16Br18O8
1.0
12.6109 0.0000 0.0000
0.0000 12.6109 0.0000
0.0000 0.0000 8.4456
Mg Tl Pb Br O
1 2 16 18 8
Cartesian
0.0000 0.0000 0.0000
0.0000 0.0000 4.7480
6.3055 6.3055 1.8989
0.7024 8.0251 4.5415
1.0666 9.2244 0.5847
1.7234 5.6078 2.0914
2.9211 5.2458 6.0396
3.3865 1.0666 0.5847
4.5859 0.7024 4.5415
5.2458 9.6898 6.0396
5.6078 10.8875 2.0914
7.0031 1.7234 2.0914
7.3651 2.9211 6.0396
8.0251 11.9085 4.5415
9.2244 11.5443 0.5847
9.6898 7.3651 6.0396
10.8875 7.0031 2.0914
11.5443 3.3865 0.5847
11.9085 4.5859 4.5415
0.0000 6.3055 7.5419
1.4858 2.6860 6.5665
1.5195 2.3019 2.4992
2.3019 11.0914 2.4992
2.6860 11.1251 6.5665
3.6316 7.7813 0.0556
4.0101 7.8184 4.1557
4.7925 4.0101 4.1557
4.8296 3.6316 0.0556
6.3055 0.0000 7.5419
7.7813 8.9793 0.0556
7.8184 8.6008 4.1557
8.6008 4.7925 4.1557
8.9793 4.8296 0.0556
9.9249 1.4858 6.5665
10.3090 1.5195 2.4992
11.0914 10.3090 2.4992
11.1251 9.9249 6.5665
0.5790 7.6713 2.2357
1.3646 5.7255 4.3965
4.9396 0.5790 2.2357
5.7255 11.2463 4.3965
6.8854 1.3646 4.3965
7.6713 12.0319 2.2357
11.2463 6.8854 4.3965
12.0319 4.9396 2.2357
```

=====

Entry 2:
Computed powder diffraction line list of LiCaPrTeO6 for λ = 1.5418 Å (Cu Kα), from the GGA-PBE geometry in the Materials Project.
Neutral-atom scattering factors, no anomalous dispersion.

Principal peaks in the range 2θ = 10–90°, sorted by position:
d (Å)	2θ (°)	I_rel
4.676	18.98	84
4.555	19.49	35
4.505	19.71	47
2.922	30.59	28
2.813	31.81	65
2.787	32.11	100
2.399	37.49	23
2.016	44.98	31
1.948	46.63	28
1.604	57.45	23

Structural model:
```
LiCaPrTeO6
1.0
5.5671 0.0000 0.0000
0.0000 5.8449 0.0000
-5.4759 0.0000 7.7912
Li Ca Pr Te O
2 2 2 2 12
Cartesian
0.0000 1.2859 0.0000
-2.7379 4.5591 3.8956
2.8647 1.1315 1.9065
0.1268 4.7134 5.8021
-2.7936 1.8616 5.7993
-0.0557 3.9833 1.9037
0.0485 1.4028 3.8679
-2.6894 4.4422 7.7635
-1.5505 2.4696 3.5163
-4.2885 3.3754 7.4120
-3.6607 0.2443 7.3797
-0.9228 5.6006 3.4841
0.5531 1.6204 1.9984
-2.1849 4.2246 5.8941
-0.4663 1.2215 5.7413
2.2717 4.6234 1.8457
3.7749 2.7865 0.3883
1.0369 3.0584 4.2839
1.6613 0.3791 4.2353
4.3992 5.4658 0.3397
```

=====

Entry 3:
Computed powder diffraction line list of Ba2YCu3Pb2O8 for λ = 1.5418 Å (Cu Kα), from the GGA-PBE geometry in the Materials Project.
Neutral-atom scattering factors, no anomalous dispersion.

Principal peaks in the range 2θ = 10–90°, sorted by position:
d (Å)	2θ (°)	I_rel
3.806	23.37	19
3.191	27.96	13
2.843	31.46	100
2.781	32.19	34
2.749	32.57	37
2.256	39.97	11
1.955	46.45	31
1.666	55.14	11
1.617	56.94	19
1.605	57.42	18

Structural model:
```
Ba2YCu3Pb2O8
1.0
5.4991 0.0000 0.0000
0.0000 16.5694 0.0000
0.0000 0.0000 5.5612
Ba Y Cu Pb O
4 2 6 4 16
Cartesian
1.3722 3.6998 0.0125
1.3722 12.8696 5.5486
4.1269 3.6998 2.7680
4.1269 12.8696 2.7931
1.3762 0.0000 0.0000
4.1229 0.0000 2.7806
1.2750 8.2847 0.0000
1.3751 1.6461 2.7825
1.3751 14.9233 2.7786
4.1240 1.6461 5.5592
4.1240 14.9233 0.0020
4.2241 8.2847 2.7806
1.3154 6.4614 2.7308
1.3154 10.1080 2.8303
4.1837 6.4614 0.0497
4.1837 10.1080 5.5114
0.0000 1.4470 4.1709
0.0000 1.4529 1.3903
0.0000 15.1165 4.1709
0.0000 15.1224 1.3903
1.1950 6.4744 0.3915
1.1950 10.0950 5.1697
1.3857 4.2498 2.8126
1.3857 12.3196 2.7486
2.7495 1.4424 4.1709
2.7495 1.4520 1.3903
2.7495 15.1174 4.1709
2.7495 15.1271 1.3903
4.1134 4.2498 5.5292
4.1134 12.3196 0.0320
4.3041 6.4744 2.3891
4.3041 10.0950 3.1721
```

=====

Entry 4:
Computed powder diffraction line list of SiC for λ = 1.5418 Å (Cu Kα), from the GGA-PBE geometry in the Materials Project.
Neutral-atom scattering factors, no anomalous dispersion.

Principal peaks in the range 2θ = 10–90°, sorted by position:
d (Å)	2θ (°)	I_rel
2.665	33.63	24
2.622	34.20	52
2.554	35.13	100
2.531	35.47	94
2.468	36.41	25
2.369	37.99	98
1.575	58.61	29
1.547	59.77	85
1.428	65.36	45
1.320	71.46	66

Structural model:
```
SiC
1.0
3.0947 0.0000 0.0000
-1.5473 2.6800 0.0000
0.0000 0.0000 25.3091
Si C
10 10
Cartesian
0.0000 0.0000 0.0000
0.0000 0.0000 5.0627
0.0000 0.0000 10.1247
0.0000 0.0000 15.1881
0.0000 1.7867 2.5325
0.0000 1.7867 12.6561
0.0000 1.7867 20.2486
1.5473 0.8933 7.5940
1.5473 0.8933 17.7160
1.5473 0.8933 22.7807
0.0000 0.0000 1.8984
0.0000 0.0000 6.9593
0.0000 0.0000 12.0211
0.0000 0.0000 17.0858
0.0000 1.7867 4.4356
0.0000 1.7867 14.5594
0.0000 1.7867 22.1520
1.5473 0.8933 9.4975
1.5473 0.8933 19.6144
1.5473 0.8933 24.6782
```

=====

Entry 5:
Computed powder diffraction line list of KRbO3 for λ = 1.5418 Å (Cu Kα), from the GGA-PBE geometry in the Materials Project.
Neutral-atom scattering factors, no anomalous dispersion.

Principal peaks in the range 2θ = 10–90°, sorted by position:
d (Å)	2θ (°)	I_rel
3.537	25.18	100
2.888	30.96	30
2.501	35.90	50
2.042	44.35	42
1.769	51.68	31
1.582	58.33	18
1.508	61.47	10
1.337	70.42	21
1.179	81.66	11
1.119	87.13	12

Structural model:
```
KRbO3
1.0
5.0026 0.0000 0.0000
0.0000 5.0026 0.0000
0.0000 0.0000 5.0026
K Rb O
1 1 3
Cartesian
0.0000 0.0000 0.0000
2.5013 2.5013 2.5013
0.0000 0.0000 2.5013
0.0000 2.5013 0.0000
2.5013 0.0000 0.0000
```

=====

Entry 6:
Computed powder diffraction line list of Eu2CdGa for λ = 1.5418 Å (Cu Kα), from the GGA-PBE geometry in the Materials Project.
Neutral-atom scattering factors, no anomalous dispersion.

Principal peaks in the range 2θ = 10–90°, sorted by position:
d (Å)	2θ (°)	I_rel
4.456	19.93	2
3.859	23.05	7
2.729	32.82	100
2.228	40.49	2
1.929	47.10	18
1.726	53.07	3
1.575	58.60	37
1.364	68.82	11
1.220	78.36	16
1.114	87.59	4

Structural model:
```
Eu2CdGa
1.0
0.0000 3.8587 3.8587
3.8587 0.0000 3.8587
3.8587 3.8587 0.0000
Eu Cd Ga
2 1 1
Cartesian
1.9294 1.9294 1.9294
5.7881 5.7881 5.7881
0.0000 0.0000 0.0000
3.8587 3.8587 3.8587
```

=====

Entry 7:
Computed powder diffraction line list of Mn2SiNi for λ = 1.5418 Å (Cu Kα), from the GGA-PBE geometry in the Materials Project.
Neutral-atom scattering factors, no anomalous dispersion.

Principal peaks in the range 2θ = 10–90°, sorted by position:
d (Å)	2θ (°)	I_rel
3.488	25.54	3
3.211	27.78	7
2.558	35.09	3
2.062	43.90	100
1.956	46.43	2
1.808	50.46	32
1.744	52.47	14
1.576	58.58	1
1.279	74.15	9
1.255	75.78	18

Structural model:
```
Mn2SiNi
1.0
-1.8085 1.8085 3.4876
1.8085 -1.8085 3.4876
1.8085 1.8085 -3.4876
Mn Si Ni
2 1 1
Cartesian
0.0000 0.0000 0.0000
0.0000 1.8085 1.7438
0.0000 0.0000 3.4876
1.8085 0.0000 1.7438
```

=====

Entry 8:
Computed powder diffraction line list of CaAg4P4O12 for λ = 1.5418 Å (Cu Kα), from the GGA-PBE geometry in the Materials Project.
Neutral-atom scattering factors, no anomalous dispersion.

Principal peaks in the range 2θ = 10–90°, sorted by position:
d (Å)	2θ (°)	I_rel
6.769	13.08	48
4.772	18.59	38
4.512	19.67	45
4.072	21.83	95
3.319	26.86	75
3.268	27.29	34
3.143	28.39	48
2.914	30.69	100
2.811	31.84	44
2.441	36.82	49

Structural model:
```
CaAg4P4O12
1.0
4.2917 0.0000 0.0000
0.2902 5.8223 0.0000
0.2852 2.1843 13.5373
Ca Ag P O
1 4 4 12
Cartesian
0.0000 0.0000 0.0000
2.0643 5.6618 2.7106
2.9345 6.1539 7.4968
3.7426 2.9665 9.3596
3.9328 1.4702 2.6897
1.3962 3.0832 6.9717
2.2679 5.0605 12.6852
3.4906 3.9758 5.1601
4.5145 6.0620 10.9168
0.3103 4.0914 6.3601
0.7755 7.4689 11.0756
0.7586 1.7518 7.3028
1.3289 4.9600 11.3608
1.2907 3.6913 0.2006
2.0346 3.8422 8.1252
2.4587 2.8548 5.7819
2.7125 3.6413 12.9425
2.8280 5.3228 5.1456
3.4878 6.0036 12.1997
3.8878 5.5739 9.6650
4.0923 3.3939 3.9254
```

=====

Entry 9:
Computed powder diffraction line list of Er4Pt for λ = 1.5418 Å (Cu Kα), from the GGA-PBE geometry in the Materials Project.
Neutral-atom scattering factors, no anomalous dispersion.

Principal peaks in the range 2θ = 10–90°, sorted by position:
d (Å)	2θ (°)	I_rel
3.858	23.06	29
3.150	28.34	100
2.728	32.83	23
2.503	35.88	32
2.100	43.08	29
1.929	47.12	56
1.645	55.90	34
1.333	70.67	13
1.252	76.04	10
1.114	87.62	13

Structural model:
```
Er4Pt
1.0
0.0000 5.4554 5.4554
5.4554 0.0000 5.4554
5.4554 5.4554 0.0000
Er Pt
8 2
Cartesian
8.3436 5.2949 5.2949
2.5672 2.5672 2.5672
5.6159 5.6159 2.5672
5.6159 2.5672 5.6159
5.2949 8.3436 5.2949
5.2949 5.2949 8.3436
8.3436 8.3436 8.3436
2.5672 5.6159 5.6159
4.0916 4.0916 4.0916
6.8193 6.8193 6.8193
```

=====

Entry 10:
Computed powder diffraction line list of Pr7Ni3 for λ = 1.5418 Å (Cu Kα), from the GGA-PBE geometry in the Materials Project.
Neutral-atom scattering factors, no anomalous dispersion.

Principal peaks in the range 2θ = 10–90°, sorted by position:
d (Å)	2θ (°)	I_rel
3.259	27.37	19
2.999	29.80	44
2.904	30.79	100
2.622	34.20	41
2.569	34.93	39
2.489	36.09	31
1.712	53.51	26
1.682	54.55	25
1.665	55.16	23
1.659	55.37	16

Structural model:
```
Pr7Ni3
1.0
9.9560 0.0000 0.0000
-4.9780 8.6222 0.0000
0.0000 0.0000 6.3964
Pr Ni
14 6
Cartesian
-1.9040 4.6488 0.0000
0.0000 2.1615 2.0116
-3.1061 7.5414 2.0116
1.8719 1.0807 5.2098
0.0000 5.7481 3.3790
1.9040 4.6488 0.0000
0.0000 7.9467 0.0000
4.9780 0.6755 3.1982
3.0740 3.9734 3.1982
4.9780 2.8741 0.1808
3.1061 7.5414 2.0116
8.0841 1.0807 5.2098
4.9780 6.4607 5.2098
6.8820 3.9734 3.1982
0.0000 3.2456 4.8243
-2.1673 6.9994 4.8243
2.8107 1.6228 1.6261
2.1673 6.9994 4.8243
7.1453 1.6228 1.6261
4.9780 5.3766 1.6261
```

=====

Entry 11:
Computed powder diffraction line list of BaPr2PdO5 for λ = 1.5418 Å (Cu Kα), from the GGA-PBE geometry in the Materials Project.
Neutral-atom scattering factors, no anomalous dispersion.

Principal peaks in the range 2θ = 10–90°, sorted by position:
d (Å)	2θ (°)	I_rel
3.070	29.09	17
2.998	29.80	38
2.979	30.00	100
2.733	32.77	45
2.427	37.04	24
2.145	42.13	34
1.886	48.24	21
1.727	53.01	20
1.650	55.71	12
1.604	57.44	12

Structural model:
```
BaPr2PdO5
1.0
6.8645 0.0000 0.0000
0.0000 6.8645 0.0000
0.0000 0.0000 5.9969
Ba Pr Pd O
2 4 2 10
Cartesian
0.0000 0.0000 0.0000
3.4323 3.4323 0.0000
1.1922 2.2400 2.9984
2.2400 5.6723 2.9984
4.6245 1.1922 2.9984
5.6723 4.6245 2.9984
0.0000 3.4323 0.0000
3.4323 0.0000 0.0000
0.0000 0.0000 2.9984
0.9637 4.3959 1.5001
0.9637 4.3959 4.4968
2.4686 0.9637 1.5001
2.4686 0.9637 4.4968
3.4323 3.4323 2.9984
4.3959 5.9009 1.5001
4.3959 5.9009 4.4968
5.9009 2.4686 1.5001
5.9009 2.4686 4.4968
```